# 1
Starting from DFT lattice parameters and positions (GGA-PBE), the X-ray powder pattern of LaZn4Ga12 was simulated for Cu Kα X-rays.
Peak positions follow from Bragg's law for the DFT cell and can differ from measured ones.

Cell and atoms:
abc: 7.651 7.651 7.651
angles: 109.47 109.47 109.47
Fractional coordinates of all 17 atoms:
La: 0.000 0.000 0.000
Zn: 0.000 0.000 0.500
Zn: 0.000 0.500 0.000
Zn: 0.500 0.000 0.000
Zn: 0.500 0.500 0.500
Ga: 0.152 0.507 0.355
Ga: 0.152 0.797 0.645
Ga: 0.203 0.355 0.848
Ga: 0.355 0.152 0.507
Ga: 0.355 0.848 0.203
Ga: 0.493 0.645 0.848
Ga: 0.507 0.355 0.152
Ga: 0.645 0.152 0.797
Ga: 0.645 0.848 0.493
Ga: 0.797 0.645 0.152
Ga: 0.848 0.203 0.355
Ga: 0.848 0.493 0.645

Top 8 peaks for 2θ = 10–90°, by intensity:
2θ (°), I/Imax
32.04, 100
38.11, 44
52.84, 42
50.62, 32
45.94, 20
28.58, 18
72.57, 13
83.29, 10

---

# 2
Starting from DFT lattice parameters and positions (GGA-PBE), the X-ray powder pattern of La2Zn12Ga5 was simulated for Cu Kα X-rays.
Peak positions follow from Bragg's law for the DFT cell and can differ from measured ones.

Cell and atoms:
abc: 6.987 6.987 6.987
angles: 85.15 85.15 85.15
Fractional coordinates of all 19 atoms:
La: 0.169 0.169 0.169
La: 0.831 0.831 0.831
Zn: 0.149 0.149 0.673
Zn: 0.149 0.673 0.149
Zn: 0.190 0.500 0.810
Zn: 0.190 0.810 0.500
Zn: 0.327 0.851 0.851
Zn: 0.500 0.190 0.810
Zn: 0.500 0.810 0.190
Zn: 0.673 0.149 0.149
Zn: 0.810 0.190 0.500
Zn: 0.810 0.500 0.190
Zn: 0.851 0.327 0.851
Zn: 0.851 0.851 0.327
Ga: 0.000 0.500 0.500
Ga: 0.403 0.403 0.403
Ga: 0.500 0.000 0.500
Ga: 0.500 0.500 0.000
Ga: 0.597 0.597 0.597

Top 8 peaks for 2θ = 10–90°, by intensity:
2θ (°), I/Imax
38.93, 100
38.08, 54
32.82, 40
43.56, 35
41.41, 28
68.80, 22
73.87, 20
62.70, 19

---

# 3
Starting from DFT lattice parameters and positions (GGA-PBE), the X-ray powder pattern of La6Zn5Ga was simulated for Cu Kα X-rays.
Peak positions follow from Bragg's law for the DFT cell and can differ from measured ones.

Cell and atoms:
abc: 8.411 8.411 7.536
angles: 90.00 90.00 143.20
Fractional coordinates of all 12 atoms:
La: 0.000 0.000 0.247
La: 0.000 0.000 0.753
La: 0.334 0.666 0.248
La: 0.334 0.666 0.752
La: 0.666 0.334 0.248
La: 0.666 0.334 0.752
Zn: 0.167 0.833 0.500
Zn: 0.169 0.831 0.000
Zn: 0.500 0.500 0.500
Zn: 0.831 0.169 0.000
Zn: 0.833 0.167 0.500
Ga: 0.500 0.500 0.000

Top 8 peaks for 2θ = 10–90°, by intensity:
2θ (°), I/Imax
33.70, 100
60.23, 24
60.34, 12
23.65, 12
48.44, 12
70.83, 9
80.84, 8
48.31, 6

---

# 4
Starting from DFT lattice parameters and positions (GGA-PBE), the X-ray powder pattern of La2Zn2Ga5 was simulated for Cu Kα X-rays.
Peak positions follow from Bragg's law for the DFT cell and can differ from measured ones.

Cell and atoms:
abc: 4.373 4.373 10.000
angles: 90.00 90.00 90.00
Fractional coordinates of all 9 atoms:
La: 0.000 0.000 0.000
La: 0.000 0.000 0.500
Zn: 0.500 0.500 0.121
Zn: 0.500 0.500 0.879
Ga: 0.000 0.500 0.267
Ga: 0.000 0.500 0.733
Ga: 0.500 0.000 0.267
Ga: 0.500 0.000 0.733
Ga: 0.500 0.500 0.500

Top 8 peaks for 2θ = 10–90°, by intensity:
2θ (°), I/Imax
34.09, 100
41.29, 44
70.68, 23
27.09, 16
41.61, 16
59.82, 14
55.86, 13
63.40, 12

---

# 5
Starting from DFT lattice parameters and positions (GGA-PBE), the X-ray powder pattern of LaZnGa3 was simulated for Cu Kα X-rays.
Peak positions follow from Bragg's law for the DFT cell and can differ from measured ones.

Cell and atoms:
abc: 4.372 4.372 10.606
angles: 90.00 90.00 90.00
Fractional coordinates of all 10 atoms:
La: 0.000 0.000 0.000
La: 0.500 0.500 0.500
Zn: 0.000 0.000 0.620
Zn: 0.500 0.500 0.120
Ga: 0.000 0.000 0.387
Ga: 0.000 0.500 0.248
Ga: 0.000 0.500 0.748
Ga: 0.500 0.000 0.248
Ga: 0.500 0.000 0.748
Ga: 0.500 0.500 0.887

Top 8 peaks for 2θ = 10–90°, by intensity:
2θ (°), I/Imax
33.55, 100
32.57, 59
41.30, 58
47.65, 28
53.56, 28
70.37, 22
64.86, 22
59.83, 19

---

# 6
Starting from DFT lattice parameters and positions (GGA-PBE), the X-ray powder pattern of LaZn12Ga6 was simulated for Cu Kα X-rays.
Peak positions follow from Bragg's law for the DFT cell and can differ from measured ones.

Cell and atoms:
abc: 7.247 7.247 7.247
angles: 102.49 102.49 102.49
Fractional coordinates of all 19 atoms:
La: 0.000 0.000 0.000
Zn: 0.108 0.500 0.892
Zn: 0.108 0.892 0.500
Zn: 0.137 0.378 0.378
Zn: 0.378 0.137 0.378
Zn: 0.378 0.378 0.137
Zn: 0.500 0.108 0.892
Zn: 0.500 0.892 0.108
Zn: 0.622 0.622 0.863
Zn: 0.622 0.863 0.622
Zn: 0.863 0.622 0.622
Zn: 0.892 0.108 0.500
Zn: 0.892 0.500 0.108
Ga: 0.287 0.287 0.713
Ga: 0.287 0.713 0.287
Ga: 0.287 0.713 0.713
Ga: 0.713 0.287 0.287
Ga: 0.713 0.287 0.713
Ga: 0.713 0.713 0.287

Top 8 peaks for 2θ = 10–90°, by intensity:
2θ (°), I/Imax
34.37, 100
32.53, 92
42.46, 70
50.45, 60
44.67, 56
41.32, 49
39.76, 46
25.86, 33

---

Repeat the first record exactly.
Starting from DFT lattice parameters and positions (GGA-PBE), the X-ray powder pattern of LaZn4Ga12 was simulated for Cu Kα X-rays.
Peak positions follow from Bragg's law for the DFT cell and can differ from measured ones.

Cell and atoms:
abc: 7.651 7.651 7.651
angles: 109.47 109.47 109.47
Fractional coordinates of all 17 atoms:
La: 0.000 0.000 0.000
Zn: 0.000 0.000 0.500
Zn: 0.000 0.500 0.000
Zn: 0.500 0.000 0.000
Zn: 0.500 0.500 0.500
Ga: 0.152 0.507 0.355
Ga: 0.152 0.797 0.645
Ga: 0.203 0.355 0.848
Ga: 0.355 0.152 0.507
Ga: 0.355 0.848 0.203
Ga: 0.493 0.645 0.848
Ga: 0.507 0.355 0.152
Ga: 0.645 0.152 0.797
Ga: 0.645 0.848 0.493
Ga: 0.797 0.645 0.152
Ga: 0.848 0.203 0.355
Ga: 0.848 0.493 0.645

Top 8 peaks for 2θ = 10–90°, by intensity:
2θ (°), I/Imax
32.04, 100
38.11, 44
52.84, 42
50.62, 32
45.94, 20
28.58, 18
72.57, 13
83.29, 10